[1]
This entry pairs a crystal structure of SrLaBr2 with its theoretical XRD peak list. Radiation: Cu Kα (λ = 1.5418 Å). Structure: the GGA-PBE geometry in Alexandria.
Lines closer than 0.1° are merged.

Top 10 peaks for 10 to 90 degrees two-theta, in order of falling intensity:
2θ = 31.7°, rel. 100; 2θ = 24.5°, rel. 49; 2θ = 47.9°, rel. 31; 2θ = 44.0°, rel. 20; 2θ = 35.9°, rel. 18; 2θ = 62.0°, rel. 14; 2θ = 66.3°, rel. 12; 2θ = 53.6°, rel. 11; 2θ = 71.9°, rel. 9; 2θ = 73.1°, rel. 8

Crystal structure
```
data_SrLaBr2
_symmetry_space_group_name_H-M 'P 1'
_symmetry_Int_Tables_number 1
_symmetry_space_group_name_Hall 'P 1'
_cell_length_a 3.8709
_cell_length_b 7.2734
_cell_length_c 9.9992
_cell_angle_alpha 90.00
_cell_angle_beta 90.00
_cell_angle_gamma 90.00
loop_
_atom_site_label
_atom_site_type_symbol
_atom_site_fract_x
_atom_site_fract_y
_atom_site_fract_z
Sr1 Sr 0.0000 0.0000 0.0000
Sr2 Sr 0.5000 0.5000 0.5000
La1 La 0.0000 0.0000 0.5000
La2 La 0.5000 0.5000 0.0000
Br1 Br 0.0000 0.5000 0.2422
Br2 Br 0.0000 0.5000 0.7578
Br3 Br 0.5000 0.0000 0.2578
Br4 Br 0.5000 0.0000 0.7422
```

[2]
This entry pairs a crystal structure of KDyPbCl6 with its theoretical XRD peak list. Radiation: Cu Kα (λ = 1.5418 Å). Structure: the GGA-PBE geometry in Alexandria.
Lines closer than 0.1° are merged.

Top 10 peaks for 10 to 90 degrees two-theta, in order of falling intensity:
2θ = 36.4°, rel. 100; 2θ = 27.8°, rel. 100; 2θ = 19.3°, rel. 99; 2θ = 13.2°, rel. 92; 2θ = 42.8°, rel. 53; 2θ = 14.0°, rel. 52; 2θ = 24.3°, rel. 51; 2θ = 40.0°, rel. 31; 2θ = 47.7°, rel. 28; 2θ = 31.2°, rel. 27

Crystal structure
```
data_KDyPbCl6
_symmetry_space_group_name_H-M 'P 1'
_symmetry_Int_Tables_number 1
_symmetry_space_group_name_Hall 'P 1'
_cell_length_a 7.3156
_cell_length_b 7.3156
_cell_length_c 13.4078
_cell_angle_alpha 90.00
_cell_angle_beta 90.00
_cell_angle_gamma 120.00
loop_
_atom_site_label
_atom_site_type_symbol
_atom_site_fract_x
_atom_site_fract_y
_atom_site_fract_z
K1 K 0.0000 0.0000 0.0000
K2 K 0.0000 0.0000 0.5000
Dy1 Dy 0.3333 0.6667 0.2500
Dy2 Dy 0.6667 0.3333 0.7500
Pb1 Pb 0.3333 0.6667 0.7500
Pb2 Pb 0.6667 0.3333 0.2500
Cl1 Cl 0.0269 0.3778 0.1365
Cl2 Cl 0.0269 0.6491 0.3635
Cl3 Cl 0.3509 0.3778 0.3635
Cl4 Cl 0.3509 0.9731 0.1365
Cl5 Cl 0.3778 0.0269 0.6365
Cl6 Cl 0.3778 0.3509 0.8635
Cl7 Cl 0.6222 0.6491 0.1365
Cl8 Cl 0.6222 0.9731 0.3635
Cl9 Cl 0.6491 0.0269 0.8635
Cl10 Cl 0.6491 0.6222 0.6365
Cl11 Cl 0.9731 0.3509 0.6365
Cl12 Cl 0.9731 0.6222 0.8635
```

[3]
This entry pairs a crystal structure of Dy3Cd3Ag with its theoretical XRD peak list. Radiation: Cu Kα (λ = 1.5418 Å). Structure: the GGA-PBE geometry in Alexandria.
Lines closer than 0.1° are merged.

Top 10 peaks for 10 to 90 degrees two-theta, in order of falling intensity:
2θ = 32.9°, rel. 100; 2θ = 35.4°, rel. 79; 2θ = 33.9°, rel. 51; 2θ = 36.5°, rel. 44; 2θ = 50.7°, rel. 32; 2θ = 65.6°, rel. 27; 2θ = 63.5°, rel. 15; 2θ = 66.3°, rel. 15; 2θ = 53.3°, rel. 14; 2θ = 65.0°, rel. 13

Crystal structure
```
data_Dy3Cd3Ag
_symmetry_space_group_name_H-M 'P 1'
_symmetry_Int_Tables_number 1
_symmetry_space_group_name_Hall 'P 1'
_cell_length_a 3.4368
_cell_length_b 4.9228
_cell_length_c 20.7085
_cell_angle_alpha 90.00
_cell_angle_beta 90.00
_cell_angle_gamma 90.00
loop_
_atom_site_label
_atom_site_type_symbol
_atom_site_fract_x
_atom_site_fract_y
_atom_site_fract_z
Dy1 Dy 0.0000 0.0000 0.0000
Dy2 Dy 0.0000 0.0000 0.3974
Dy3 Dy 0.0000 0.5000 0.2060
Dy4 Dy 0.5000 0.0000 0.7060
Dy5 Dy 0.5000 0.5000 0.5000
Dy6 Dy 0.5000 0.5000 0.8974
Cd1 Cd 0.0000 0.0000 0.5573
Cd2 Cd 0.0000 0.0000 0.8432
Cd3 Cd 0.0000 0.5000 0.6344
Cd4 Cd 0.5000 0.0000 0.1344
Cd5 Cd 0.5000 0.5000 0.0573
Cd6 Cd 0.5000 0.5000 0.3432
Ag1 Ag 0.0000 0.5000 0.7691
Ag2 Ag 0.5000 0.0000 0.2691
```

[4]
This entry pairs a crystal structure of Cu4MoPd15 with its theoretical XRD peak list. Radiation: Cu Kα (λ = 1.5418 Å). Structure: the GGA-PBE geometry in Alexandria.
Lines closer than 0.1° are merged.

Top 10 peaks for 10 to 90 degrees two-theta, in order of falling intensity:
2θ = 40.1°, rel. 100; 2θ = 46.7°, rel. 32; 2θ = 82.1°, rel. 24; 2θ = 68.0°, rel. 20; 2θ = 46.5°, rel. 16; 2θ = 81.9°, rel. 12; 2θ = 86.5°, rel. 10; 2θ = 68.1°, rel. 10; 2θ = 22.8°, rel. 2; 2θ = 32.5°, rel. 2

Crystal structure
```
data_Cu4MoPd15
_symmetry_space_group_name_H-M 'P 1'
_symmetry_Int_Tables_number 1
_symmetry_space_group_name_Hall 'P 1'
_cell_length_a 3.8938
_cell_length_b 3.8938
_cell_length_c 19.5198
_cell_angle_alpha 90.00
_cell_angle_beta 90.00
_cell_angle_gamma 90.00
loop_
_atom_site_label
_atom_site_type_symbol
_atom_site_fract_x
_atom_site_fract_y
_atom_site_fract_z
Cu1 Cu 0.0000 0.0000 0.0996
Cu2 Cu 0.0000 0.0000 0.2967
Cu3 Cu 0.0000 0.0000 0.7033
Cu4 Cu 0.0000 0.0000 0.9004
Mo1 Mo 0.0000 0.0000 0.5000
Pd1 Pd 0.0000 0.5000 0.0000
Pd2 Pd 0.0000 0.5000 0.1985
Pd3 Pd 0.0000 0.5000 0.4004
Pd4 Pd 0.0000 0.5000 0.5996
Pd5 Pd 0.0000 0.5000 0.8015
Pd6 Pd 0.5000 0.0000 0.0000
Pd7 Pd 0.5000 0.0000 0.1985
Pd8 Pd 0.5000 0.0000 0.4004
Pd9 Pd 0.5000 0.0000 0.5996
Pd10 Pd 0.5000 0.0000 0.8015
Pd11 Pd 0.5000 0.5000 0.0988
Pd12 Pd 0.5000 0.5000 0.2990
Pd13 Pd 0.5000 0.5000 0.5000
Pd14 Pd 0.5000 0.5000 0.7010
Pd15 Pd 0.5000 0.5000 0.9012
```

[5]
This entry pairs a crystal structure of KRhF5 with its theoretical XRD peak list. Radiation: Cu Kα (λ = 1.5418 Å). Structure: the GGA-PBE geometry in Alexandria.
Lines closer than 0.1° are merged.

Top 10 peaks for 10 to 90 degrees two-theta, in order of falling intensity:
2θ = 28.4°, rel. 100; 2θ = 15.9°, rel. 88; 2θ = 22.4°, rel. 74; 2θ = 22.7°, rel. 60; 2θ = 43.5°, rel. 32; 2θ = 23.4°, rel. 32; 2θ = 45.6°, rel. 21; 2θ = 53.6°, rel. 19; 2θ = 43.1°, rel. 19; 2θ = 46.3°, rel. 14

Crystal structure
```
data_KRhF5
_symmetry_space_group_name_H-M 'P 1'
_symmetry_Int_Tables_number 1
_symmetry_space_group_name_Hall 'P 1'
_cell_length_a 6.7442
_cell_length_b 6.7442
_cell_length_c 7.5930
_cell_angle_alpha 124.07
_cell_angle_beta 124.07
_cell_angle_gamma 71.18
loop_
_atom_site_label
_atom_site_type_symbol
_atom_site_fract_x
_atom_site_fract_y
_atom_site_fract_z
K1 K 0.0290 0.9710 0.7500
K2 K 0.9710 0.0290 0.2500
Rh1 Rh 0.5000 0.5000 0.0000
Rh2 Rh 0.5000 0.5000 0.5000
F1 F 0.2571 0.2584 0.2581
F2 F 0.2584 0.2571 0.7581
F3 F 0.2599 0.7385 0.0532
F4 F 0.2615 0.7401 0.4468
F5 F 0.4131 0.5869 0.7500
F6 F 0.5869 0.4131 0.2500
F7 F 0.7385 0.2599 0.5532
F8 F 0.7401 0.2615 0.9468
F9 F 0.7416 0.7429 0.2419
F10 F 0.7429 0.7416 0.7419
```

[6]
This entry pairs a crystal structure of Dy10ErSc6 with its theoretical XRD peak list. Radiation: Cu Kα (λ = 1.5418 Å). Structure: the GGA-PBE geometry in Alexandria.
Lines closer than 0.1° are merged.

Top 10 peaks for 10 to 90 degrees two-theta, in order of falling intensity:
2θ = 33.2°, rel. 100; 2θ = 59.3°, rel. 25; 2θ = 23.3°, rel. 22; 2θ = 32.2°, rel. 19; 2θ = 47.7°, rel. 16; 2θ = 79.4°, rel. 9; 2θ = 51.1°, rel. 8; 2θ = 62.3°, rel. 8; 2θ = 29.2°, rel. 7; 2θ = 65.8°, rel. 7

Crystal structure
```
data_Dy10ErSc6
_symmetry_space_group_name_H-M 'P 1'
_symmetry_Int_Tables_number 1
_symmetry_space_group_name_Hall 'P 1'
_cell_length_a 9.3481
_cell_length_b 9.3481
_cell_length_c 6.6108
_cell_angle_alpha 90.00
_cell_angle_beta 90.00
_cell_angle_gamma 120.00
loop_
_atom_site_label
_atom_site_type_symbol
_atom_site_fract_x
_atom_site_fract_y
_atom_site_fract_z
Dy1 Dy 0.0000 0.2811 0.1816
Dy2 Dy 0.0000 0.7189 0.8184
Dy3 Dy 0.2811 0.0000 0.1816
Dy4 Dy 0.2811 0.2811 0.8184
Dy5 Dy 0.3333 0.6667 0.0000
Dy6 Dy 0.3333 0.6667 0.5000
Dy7 Dy 0.6667 0.3333 0.0000
Dy8 Dy 0.6667 0.3333 0.5000
Dy9 Dy 0.7189 0.0000 0.8184
Dy10 Dy 0.7189 0.7189 0.1816
Er1 Er 0.0000 0.0000 0.5000
Sc1 Sc 0.0000 0.3677 0.6813
Sc2 Sc 0.0000 0.6323 0.3187
Sc3 Sc 0.3677 0.0000 0.6813
Sc4 Sc 0.3677 0.3677 0.3187
Sc5 Sc 0.6323 0.0000 0.3187
Sc6 Sc 0.6323 0.6323 0.6813
```

[7]
This entry pairs a crystal structure of Al2Ni3Pd with its theoretical XRD peak list. Radiation: Cu Kα (λ = 1.5418 Å). Structure: the GGA-PBE geometry in Alexandria.
Lines closer than 0.1° are merged.

Top 10 peaks for 10 to 90 degrees two-theta, in order of falling intensity:
2θ = 42.7°, rel. 100; 2θ = 36.8°, rel. 86; 2θ = 46.6°, rel. 73; 2θ = 42.2°, rel. 69; 2θ = 48.5°, rel. 42; 2θ = 43.8°, rel. 38; 2θ = 40.6°, rel. 35; 2θ = 32.5°, rel. 34; 2θ = 45.8°, rel. 30; 2θ = 27.0°, rel. 30

Crystal structure
```
data_Al2Ni3Pd
_symmetry_space_group_name_H-M 'P 1'
_symmetry_Int_Tables_number 1
_symmetry_space_group_name_Hall 'P 1'
_cell_length_a 7.5245
_cell_length_b 7.5245
_cell_length_c 7.5245
_cell_angle_alpha 117.60
_cell_angle_beta 117.60
_cell_angle_gamma 94.21
loop_
_atom_site_label
_atom_site_type_symbol
_atom_site_fract_x
_atom_site_fract_y
_atom_site_fract_z
Al1 Al 0.2709 0.3385 0.5676
Al2 Al 0.2709 0.7034 0.9324
Al3 Al 0.2966 0.7291 0.5676
Al4 Al 0.3385 0.2709 0.0676
Al5 Al 0.6615 0.7291 0.9324
Al6 Al 0.7034 0.2709 0.4324
Al7 Al 0.7291 0.2966 0.0676
Al8 Al 0.7291 0.6615 0.4324
Ni1 Ni 0.0000 0.5000 0.5000
Ni2 Ni 0.0915 0.3415 0.1831
Ni3 Ni 0.0915 0.9085 0.7500
Ni4 Ni 0.3415 0.0915 0.6831
Ni5 Ni 0.3415 0.6585 0.2500
Ni6 Ni 0.5000 0.0000 0.0000
Ni7 Ni 0.5000 0.5000 0.0000
Ni8 Ni 0.5000 0.5000 0.5000
Ni9 Ni 0.6585 0.3415 0.7500
Ni10 Ni 0.6585 0.9085 0.3169
Ni11 Ni 0.9085 0.0915 0.2500
Ni12 Ni 0.9085 0.6585 0.8169
Pd1 Pd 0.0468 0.2968 0.7500
Pd2 Pd 0.2968 0.0468 0.2500
Pd3 Pd 0.7032 0.9532 0.7500
Pd4 Pd 0.9532 0.7032 0.2500
```

[8]
This entry pairs a crystal structure of RbAgS5 with its theoretical XRD peak list. Radiation: Cu Kα (λ = 1.5418 Å). Structure: the GGA-PBE geometry in Alexandria.
Lines closer than 0.1° are merged.

Top 10 peaks for 10 to 90 degrees two-theta, in order of falling intensity:
2θ = 28.2°, rel. 100; 2θ = 16.5°, rel. 68; 2θ = 19.9°, rel. 62; 2θ = 23.3°, rel. 61; 2θ = 29.4°, rel. 55; 2θ = 36.8°, rel. 36; 2θ = 24.6°, rel. 32; 2θ = 33.3°, rel. 28; 2θ = 28.3°, rel. 28; 2θ = 20.6°, rel. 27

Crystal structure
```
data_RbAgS5
_symmetry_space_group_name_H-M 'P 1'
_symmetry_Int_Tables_number 1
_symmetry_space_group_name_Hall 'P 1'
_cell_length_a 6.0906
_cell_length_b 7.5546
_cell_length_c 10.4453
_cell_angle_alpha 77.23
_cell_angle_beta 74.08
_cell_angle_gamma 69.29
loop_
_atom_site_label
_atom_site_type_symbol
_atom_site_fract_x
_atom_site_fract_y
_atom_site_fract_z
Rb1 Rb 0.1943 0.2516 0.2225
Rb2 Rb 0.8057 0.7484 0.7775
Ag1 Ag 0.0000 0.0000 0.0000
Ag2 Ag 0.5000 0.5000 0.5000
S1 S 0.0556 0.2967 0.9085
S2 S 0.2414 0.9986 0.6115
S3 S 0.3708 0.8626 0.4550
S4 S 0.4204 0.2721 0.8570
S5 S 0.4267 0.5232 0.7398
S6 S 0.5733 0.4768 0.2602
S7 S 0.5796 0.7279 0.1430
S8 S 0.6292 0.1374 0.5450
S9 S 0.7586 0.0014 0.3885
S10 S 0.9444 0.7033 0.0915
```

Repeat the second record exactly.
This entry pairs a crystal structure of KDyPbCl6 with its theoretical XRD peak list. Radiation: Cu Kα (λ = 1.5418 Å). Structure: the GGA-PBE geometry in Alexandria.
Lines closer than 0.1° are merged.

Top 10 peaks for 10 to 90 degrees two-theta, in order of falling intensity:
2θ = 36.4°, rel. 100; 2θ = 27.8°, rel. 100; 2θ = 19.3°, rel. 99; 2θ = 13.2°, rel. 92; 2θ = 42.8°, rel. 53; 2θ = 14.0°, rel. 52; 2θ = 24.3°, rel. 51; 2θ = 40.0°, rel. 31; 2θ = 47.7°, rel. 28; 2θ = 31.2°, rel. 27

Crystal structure
```
data_KDyPbCl6
_symmetry_space_group_name_H-M 'P 1'
_symmetry_Int_Tables_number 1
_symmetry_space_group_name_Hall 'P 1'
_cell_length_a 7.3156
_cell_length_b 7.3156
_cell_length_c 13.4078
_cell_angle_alpha 90.00
_cell_angle_beta 90.00
_cell_angle_gamma 120.00
loop_
_atom_site_label
_atom_site_type_symbol
_atom_site_fract_x
_atom_site_fract_y
_atom_site_fract_z
K1 K 0.0000 0.0000 0.0000
K2 K 0.0000 0.0000 0.5000
Dy1 Dy 0.3333 0.6667 0.2500
Dy2 Dy 0.6667 0.3333 0.7500
Pb1 Pb 0.3333 0.6667 0.7500
Pb2 Pb 0.6667 0.3333 0.2500
Cl1 Cl 0.0269 0.3778 0.1365
Cl2 Cl 0.0269 0.6491 0.3635
Cl3 Cl 0.3509 0.3778 0.3635
Cl4 Cl 0.3509 0.9731 0.1365
Cl5 Cl 0.3778 0.0269 0.6365
Cl6 Cl 0.3778 0.3509 0.8635
Cl7 Cl 0.6222 0.6491 0.1365
Cl8 Cl 0.6222 0.9731 0.3635
Cl9 Cl 0.6491 0.0269 0.8635
Cl10 Cl 0.6491 0.6222 0.6365
Cl11 Cl 0.9731 0.3509 0.6365
Cl12 Cl 0.9731 0.6222 0.8635
```

Which formula does entry 4 have? Cu4MoPd15